This entry pairs a crystal structure of K3Ca with its theoretical X-ray powder pattern. Radiation: Cu Kα, 1.54184 Å. Structure: a PBE-relaxed structure.

Atomic structure:
Cell lengths 10.068, 10.068, 10.068 Å; angles 90.00, 90.00, 90.00 degrees
Sites, in units of the cell vectors:
K1 0.000 0.000 0.000
K2 0.000 0.500 0.500
K3 0.250 0.250 0.250
K4 0.250 0.250 0.750
K5 0.250 0.750 0.250
K6 0.250 0.750 0.750
K7 0.500 0.000 0.500
K8 0.500 0.500 0.000
K9 0.750 0.250 0.250
K10 0.750 0.250 0.750
K11 0.750 0.750 0.250
K12 0.750 0.750 0.750
Ca1 0.000 0.000 0.500
Ca2 0.000 0.500 0.000
Ca3 0.500 0.000 0.000
Ca4 0.500 0.500 0.500

Principal peaks in the range 10 to 90 degrees two-theta, in order of rising 2θ:
index  2theta  d_spacing  intensity
2 2 0  25.02  3.560  100
4 0 0  35.67  2.517  18
4 2 2  44.06  2.055  38
4 4 0  51.33  1.780  11
6 2 0  57.93  1.592  15
6 4 2  69.92  1.345  16